This entry pairs a crystal structure of Bi2Se2Cl7 with its simulated X-ray diffraction stick pattern. Radiation: a wavelength of 1.5418 Å. Structure: a DFT-relaxed cell (GGA-PBE, the Materials Project).
Lines closer than 0.1° are merged.

The 10 most intense peaks (2θ from 10° to 90°), most intense first:
index, 2theta, intensity
2 1 1, 20.0, 100
1 0 2, 18.7, 67
2 1 2, 24.8, 61
0 0 4, 34.0, 53
1 3 3, 36.4, 52
4 2 1, 37.6, 31
1 4 1, 34.8, 30
1 3 0, 25.7, 27
5 0 2, 44.7, 25
1 3 4, 43.2, 25

```
Bi2Se2Cl7
1.0
10.975 0.000 0.000
0.000 10.975 0.000
0.000 0.000 10.521
Bi Se Cl
8 8 28
Cartesian
0.187 7.029 1.582 Bi
1.541 10.788 8.938 Bi
3.946 5.675 8.938 Bi
5.300 9.434 1.582 Bi
5.675 1.541 8.938 Bi
7.029 5.300 1.582 Bi
9.434 0.187 1.582 Bi
10.788 3.946 8.938 Bi
1.336 3.614 4.127 Se
1.873 1.336 4.127 Se
3.614 4.152 4.127 Se
4.152 1.873 4.127 Se
6.824 9.102 6.394 Se
7.361 6.824 6.394 Se
9.102 9.639 6.394 Se
9.639 7.361 6.394 Se
0.186 9.640 2.876 Cl
0.568 1.511 0.629 Cl
1.147 9.326 6.791 Cl
1.336 5.674 7.644 Cl
1.511 4.920 0.629 Cl
1.650 6.634 3.730 Cl
2.744 2.744 8.712 Cl
2.744 8.231 0.000 Cl
3.838 9.829 3.730 Cl
3.976 0.568 0.629 Cl
4.152 10.789 7.644 Cl
4.341 7.137 6.791 Cl
4.920 3.976 0.629 Cl
5.301 6.823 2.876 Cl
5.674 4.152 7.644 Cl
6.056 6.999 9.891 Cl
6.634 3.838 3.730 Cl
6.823 0.186 2.876 Cl
6.999 10.407 9.891 Cl
7.137 1.147 6.791 Cl
8.231 2.744 0.000 Cl
8.231 8.231 1.809 Cl
9.326 4.341 6.791 Cl
9.464 6.056 9.891 Cl
9.640 5.301 2.876 Cl
9.829 1.650 3.730 Cl
10.407 9.464 9.891 Cl
10.789 1.336 7.644 Cl
```